Structure and calculated powder diffractogram of Cs2SrInSn2 (a cell relaxed with PBE; a wavelength of 1.5418 Å).
Peak positions follow from Bragg's law for the DFT cell and can differ from measured ones.

Most intense lines, 2θ = 10–90°, low angle first:
d/Å	intensity
3.456	89
3.412	28
3.388	30
3.147	100
3.015	53
2.828	27
2.753	28
2.569	53
2.454	20
2.259	18
1.878	18
1.857	23

Structure:
Unit cell a=5.1371 b=11.1719 c=8.5220 alpha=90.00 beta=90.00 gamma=90.00
Space group Pmc2_1 (No. 26)
Unique sites:
Cs  0.0000  0.0864  0.0000 [2 per cell]
Cs  0.5000  0.1637  0.3272 [2 per cell]
Sr  0.5000  0.4642  0.0010 [2 per cell]
In  0.0000  0.3452  0.6458 [2 per cell]
Sn  0.0000  0.4025  0.2804 [2 per cell]
Sn  0.5000  0.2204  0.7470 [2 per cell]

=====

Structure and calculated powder diffractogram of CsInTe2 (a cell relaxed with PBE; a wavelength of 1.5418 Å).
Peak positions follow from Bragg's law for the DFT cell and can differ from measured ones.

Most intense lines, 2θ = 10–90°, low angle first:
d/Å	intensity
7.063	18
3.745	24
3.660	100
3.231	44
3.091	52
2.995	40
2.781	80
2.272	20
2.197	26
1.970	18
1.958	26
1.918	38

Structure:
Unit cell a=9.7230 b=10.2783 c=6.6130 alpha=90.00 beta=90.00 gamma=90.00
Space group Pna2_1 (No. 33)
Unique sites:
Cs  0.0006  0.1669  0.0000 [4 per cell]
In  0.1494  0.5013  0.2505 [4 per cell]
Te  0.1681  0.5014  0.7512 [4 per cell]
Te  0.2490  0.7522  0.9999 [4 per cell]

=====

Structure and calculated powder diffractogram of Cs2TlIn7 (a cell relaxed with PBE; a wavelength of 1.5418 Å).
Peak positions follow from Bragg's law for the DFT cell and can differ from measured ones.

Most intense lines, 2θ = 10–90°, low angle first:
d/Å	intensity
3.294	45
3.177	100
2.588	64
2.410	36
2.296	24
2.035	23
1.830	23
1.717	20
1.586	25
1.457	14
1.361	22
1.205	15

Structure:
Unit cell a=5.1753 b=5.1753 c=12.8107 alpha=90.00 beta=90.00 gamma=90.00
Space group P-4m2 (No. 115)
Unique sites:
Cs  0.0000  0.5000  0.2492 [2 per cell]
Tl  0.0000  0.0000  0.5000 [1 per cell]
In  0.0000  0.0000  0.0000 [1 per cell]
In  0.0000  0.5000  0.6342 [2 per cell]
In  0.0000  0.5000  0.8691 [2 per cell]
In  0.5000  0.5000  0.0000 [1 per cell]
In  0.5000  0.5000  0.5000 [1 per cell]

=====

Structure and calculated powder diffractogram of Cs2Tl3In17 (a cell relaxed with PBE; a wavelength of 1.5418 Å).
Peak positions follow from Bragg's law for the DFT cell and can differ from measured ones.

Most intense lines, 2θ = 10–90°, low angle first:
d/Å	intensity
4.038	23
3.655	34
3.267	71
2.943	100
2.862	74
2.705	33
2.624	28
2.575	46
2.335	24
2.226	28
2.153	23
1.817	24

Structure:
Unit cell a=13.5554 b=13.0681 c=8.4926 alpha=90.00 beta=99.98 gamma=90.00
Space group C2/m (No. 12)
Unique sites:
Cs  0.1471  0.0000  0.3969 [4 per cell]
Tl  0.0000  0.0000  0.0000 [2 per cell]
Tl  0.2500  0.2500  0.5000 [4 per cell]
In  0.0000  0.2307  0.0000 [4 per cell]
In  0.0000  0.5000  0.5000 [2 per cell]
In  0.0695  0.2679  0.6735 [8 per cell]
In  0.0993  0.5000  0.8692 [4 per cell]
In  0.1233  0.3812  0.2395 [8 per cell]
In  0.1998  0.0000  0.8841 [4 per cell]
In  0.2500  0.2500  0.0000 [4 per cell]

=====

Structure and calculated powder diffractogram of Cs2Tl2In15 (a cell relaxed with PBE; a wavelength of 1.5418 Å).
Peak positions follow from Bragg's law for the DFT cell and can differ from measured ones.

Most intense lines, 2θ = 10–90°, low angle first:
d/Å	intensity
8.334	40
3.229	54
3.123	52
2.797	96
2.778	100
2.725	61
2.710	46
2.488	96
2.449	31
1.670	25
1.615	34
1.583	42

Structure:
Unit cell a=11.1866 b=11.1866 c=16.3436 alpha=90.00 beta=90.00 gamma=120.00
Space group R-3m (No. 166, hexagonal axes)
Unique sites:
Cs  0.0000  0.0000  0.1599 [6 per cell]
Tl  0.0000  0.0000  0.3984 [6 per cell]
In  0.0000  0.2922  0.5000 [18 per cell]
In  0.0000  0.5000  0.0000 [9 per cell]
In  0.0051  0.5026  0.6487 [18 per cell]

=====

Structure and calculated powder diffractogram of Cs4Tl4In (a cell relaxed with PBE; a wavelength of 1.5418 Å).
Peak positions follow from Bragg's law for the DFT cell and can differ from measured ones.

Most intense lines, 2θ = 10–90°, low angle first:
d/Å	intensity
7.148	30
5.589	28
4.188	48
3.952	22
3.459	100
2.987	38
2.874	35
2.432	51
2.146	25
1.905	19
1.863	18
1.647	17

Structure:
Unit cell a=7.9040 b=7.9040 c=16.7523 alpha=90.00 beta=90.00 gamma=90.00
Space group I-42m (No. 121)
Unique sites:
Cs  0.1869  0.1869  0.3757 [8 per cell]
Tl  0.1583  0.1583  0.1426 [8 per cell]
In  0.0000  0.0000  0.0000 [2 per cell]